(1)
Calculated powder diffractogram
Compound: MgB2O2
Radiation: Cu Kα, 1.54184 Å
Structure: the GGA-PBE geometry in Alexandria

Crystal structure
```
MgB2O2
1.0
7.4335 0.0000 0.0000
0.0000 7.4335 0.0000
0.0000 0.0000 2.4893
Mg B O
2 4 4
Cartesian
0.0000 0.0000 0.0000
3.7168 3.7168 0.0000
0.5937 3.1230 1.2447
3.1230 6.8398 1.2447
4.3105 0.5937 1.2447
6.8398 4.3105 1.2447
1.0927 2.6241 0.0000
2.6241 6.3408 0.0000
4.8094 1.0927 0.0000
6.3408 4.8094 0.0000
```

Largest 12 diffraction maxima, by intensity, 10 to 90 degrees two-theta:
26.8 deg, intensity 100.0, hkl 2 1 0; 38.3 deg, intensity 59.9, hkl 3 1 0; 53.6 deg, intensity 42.4, hkl 3 1 1; 23.9 deg, intensity 39.3, hkl 2 0 0; 34.1 deg, intensity 24.2, hkl 2 2 0; 40.1 deg, intensity 18.7, hkl 1 1 1; 36.1 deg, intensity 17.6, hkl 0 0 1; 67.8 deg, intensity 13.3, hkl 4 2 1; 45.5 deg, intensity 12.1, hkl 2 1 1; 43.9 deg, intensity 11.5, hkl 3 2 0; 55.3 deg, intensity 9.0, hkl 4 2 0; 63.9 deg, intensity 9.0, hkl 5 1 0

---

(2)
Calculated powder diffractogram
Compound: Gd6CoBr10
Radiation: Cu Kα, 1.54184 Å
Structure: the GGA-PBE geometry in Alexandria

Crystal structure
```
Gd6CoBr10
1.0
7.4329 0.0000 0.0000
-2.3933 8.8906 0.0000
-1.0796 -3.2361 8.6513
Gd Co Br
6 1 10
Cartesian
-0.6914 0.5580 3.5632
-0.6589 4.0425 2.2287
0.4047 3.4358 5.8644
3.5554 2.2187 2.7869
4.6190 1.6120 6.4226
4.6515 5.0965 5.0881
-1.7364 2.8273 4.3256
-1.7935 6.6924 2.8312
0.8860 1.6927 1.3482
-0.5862 2.0867 8.2704
-0.5731 5.9512 6.6891
1.9738 0.9514 5.0612
1.9863 4.7031 3.5901
4.5332 -0.2966 1.9622
4.5463 3.5678 0.3809
3.0741 3.9618 7.3031
5.7536 -1.0379 5.8201
```

Largest 12 diffraction maxima, by intensity, 10 to 90 degrees two-theta:
29.5 deg, intensity 100.0, hkl 2 0 1; 30.4 deg, intensity 99.0, hkl 1 1 -3; 30.7 deg, intensity 91.1, hkl 1 -3 0; 10.2 deg, intensity 68.3, hkl 0 0 1; 10.6 deg, intensity 66.5, hkl 0 1 0; 43.6 deg, intensity 62.3, hkl 1 3 1; 43.1 deg, intensity 36.5, hkl 1 -1 4; 43.8 deg, intensity 32.2, hkl 0 4 -3; 42.5 deg, intensity 31.2, hkl 3 1 -2; 42.6 deg, intensity 30.8, hkl 3 -3 1; 11.9 deg, intensity 25.2, hkl 0 1 -1; 12.6 deg, intensity 24.5, hkl 1 0 0

---

(3)
Calculated powder diffractogram
Compound: SnHg2F6
Radiation: Cu Kα, 1.54184 Å
Structure: the GGA-PBE geometry in Alexandria

Crystal structure
```
SnHg2F6
1.0
6.3292 0.0000 0.0000
0.0000 6.3292 0.0000
0.0000 0.0000 9.6212
Sn Hg F
2 4 12
Cartesian
0.0000 0.0000 0.0000
3.1646 3.1646 4.8106
0.0000 0.0000 3.5122
0.0000 0.0000 6.1090
3.1646 3.1646 1.2984
3.1646 3.1646 8.3228
0.9631 0.9631 1.5170
0.9631 0.9631 8.1041
1.3904 4.9388 0.0000
1.7742 1.7742 4.8106
2.2015 4.1276 3.2935
2.2015 4.1276 6.3276
4.1276 2.2015 3.2935
4.1276 2.2015 6.3276
4.5550 4.5550 4.8106
4.9388 1.3904 0.0000
5.3661 5.3661 1.5170
5.3661 5.3661 8.1041
```

Largest 12 diffraction maxima, by intensity, 10 to 90 degrees two-theta:
19.8 deg, intensity 100.0, hkl 1 1 0; 42.6 deg, intensity 48.1, hkl 2 1 3; 31.3 deg, intensity 37.4, hkl 1 0 3; 28.2 deg, intensity 29.4, hkl 2 0 0; 60.1 deg, intensity 18.3, hkl 3 2 3; 45.3 deg, intensity 18.3, hkl 3 1 0; 40.3 deg, intensity 17.7, hkl 2 2 0; 51.9 deg, intensity 13.5, hkl 3 0 3; 67.7 deg, intensity 11.6, hkl 4 1 3; 16.8 deg, intensity 10.7, hkl 1 0 1; 33.0 deg, intensity 9.6, hkl 2 1 1; 81.8 deg, intensity 8.4, hkl 5 0 3

---

(4)
Calculated powder diffractogram
Compound: Ac2Bi3PdRh4
Radiation: Cu Kα, 1.54184 Å
Structure: the GGA-PBE geometry in Alexandria

Crystal structure
```
Ac2Bi3PdRh4
1.0
4.3024 0.0000 0.0000
0.0000 4.3024 0.0000
0.0000 0.0000 12.6398
Ac Bi Pd Rh
2 3 1 4
Cartesian
0.0000 2.1512 2.8024
2.1512 0.0000 9.8373
0.0000 0.0000 0.0000
0.0000 2.1512 7.9374
2.1512 0.0000 4.7023
2.1512 2.1512 0.0000
0.0000 0.0000 6.3199
0.0000 2.1512 10.6479
2.1512 0.0000 1.9918
2.1512 2.1512 6.3199
```

Largest 12 diffraction maxima, by intensity, 10 to 90 degrees two-theta:
32.7 deg, intensity 100.0, hkl 1 1 2; 42.0 deg, intensity 59.3, hkl 2 0 0; 29.7 deg, intensity 57.5, hkl 1 0 3; 41.4 deg, intensity 31.8, hkl 1 0 5; 41.2 deg, intensity 27.7, hkl 1 1 4; 25.0 deg, intensity 26.0, hkl 1 0 2; 52.3 deg, intensity 24.6, hkl 2 1 3; 70.8 deg, intensity 21.7, hkl 3 1 2; 60.5 deg, intensity 21.2, hkl 2 1 5; 60.9 deg, intensity 20.0, hkl 2 2 0; 29.4 deg, intensity 17.5, hkl 1 1 0; 56.1 deg, intensity 11.9, hkl 2 0 5